(1)
For MgTiCu4S4, the PBE geometry in the Materials Project gives the theoretical powder X-ray diffraction pattern in this record (Cu Kα, 1.54184 Å).
Intensities are scaled so that the largest is 100.

Cell and atoms:
```
data_MgTiCu4S4
_cell_length_a 5.7184
_cell_length_b 5.7184
_cell_length_c 6.4442
_cell_angle_alpha 112.11
_cell_angle_beta 112.11
_cell_angle_gamma 88.66
_space_group_name_H-M_alt 'P 1'
_space_group_IT_number 1
_space_group_name_Hall 'P 1'
loop_
_atom_site_label
_atom_site_fract_x
_atom_site_fract_y
_atom_site_fract_z
Mg1 0.0000 0.0000 0.0000
Ti1 0.5997 0.5997 0.7474
Cu1 0.0776 0.5594 0.6892
Cu2 0.3702 0.3702 0.2418
Cu3 0.5594 0.0776 0.6892
Cu4 0.8302 0.8302 0.2364
S1 0.2244 0.2244 0.4678
S2 0.3933 0.9317 0.9190
S3 0.6889 0.6889 0.4547
S4 0.9317 0.3933 0.9190
```

The 10 most intense peaks (2θ = 10–90°), sorted by position:
Position (°2θ)	I_rel
25.6	34
27.6	100
29.0	40
31.4	28
43.8	67
44.7	35
45.4	37
48.1	59
51.4	19
65.6	19

=====

(2)
For SrIn2P2, the PBE geometry in the Materials Project gives the theoretical powder X-ray diffraction pattern in this record (Cu Kα, 1.54184 Å).
Intensities are scaled so that the largest is 100.

Cell and atoms:
```
data_SrIn2P2
_cell_length_a 4.1527
_cell_length_b 4.1527
_cell_length_c 18.0385
_cell_angle_alpha 90.00
_cell_angle_beta 90.00
_cell_angle_gamma 120.00
_space_group_name_H-M_alt 'P 1'
_space_group_IT_number 1
_space_group_name_Hall 'P 1'
loop_
_atom_site_label
_atom_site_fract_x
_atom_site_fract_y
_atom_site_fract_z
Sr1 0.0000 0.0000 0.0000
Sr2 0.0000 0.0000 0.5000
In1 0.3333 0.6667 0.1719
In2 0.3333 0.6667 0.3281
In3 0.6667 0.3333 0.6719
In4 0.6667 0.3333 0.8281
P1 0.3333 0.6667 0.6084
P2 0.3333 0.6667 0.8916
P3 0.6667 0.3333 0.1084
P4 0.6667 0.3333 0.3916
```

The 10 most intense peaks (2θ = 10–90°), sorted by position:
Position (°2θ)	I_rel
25.3	100
26.7	91
29.7	42
31.8	70
35.2	41
43.2	69
43.6	81
53.6	47
63.0	21
79.8	22

=====

(3)
For SmSn6Ru4, the PBE geometry in the Materials Project gives the theoretical powder X-ray diffraction pattern in this record (Cu Kα, 1.54184 Å).
Intensities are scaled so that the largest is 100.

Cell and atoms:
```
data_SmSn6Ru4
_cell_length_a 6.9677
_cell_length_b 6.9677
_cell_length_c 6.9677
_cell_angle_alpha 120.22
_cell_angle_beta 120.22
_cell_angle_gamma 89.62
_space_group_name_H-M_alt 'P 1'
_space_group_IT_number 1
_space_group_name_Hall 'P 1'
loop_
_atom_site_label
_atom_site_fract_x
_atom_site_fract_y
_atom_site_fract_z
Sm1 0.0000 0.0000 0.0000
Sn1 0.0000 0.5000 0.5000
Sn2 0.1179 0.1179 0.6472
Sn3 0.4707 0.4707 0.3528
Sn4 0.5000 0.0000 0.5000
Sn5 0.5293 0.8821 0.0000
Sn6 0.8821 0.5293 0.0000
Ru1 0.2495 0.5950 0.0000
Ru2 0.4050 0.4050 0.6546
Ru3 0.5950 0.2495 0.0000
Ru4 0.7505 0.7505 0.3454
```

The 10 most intense peaks (2θ = 10–90°), sorted by position:
Position (°2θ)	I_rel
30.2	85
31.5	86
36.6	54
39.9	100
40.0	71
40.9	70
41.1	57
52.5	37
61.9	38
71.8	35

=====

(4)
For MgSi2, the PBE geometry in the Materials Project gives the theoretical powder X-ray diffraction pattern in this record (Cu Kα, 1.54184 Å).
Intensities are scaled so that the largest is 100.

Cell and atoms:
```
data_MgSi2
_cell_length_a 3.9845
_cell_length_b 6.2859
_cell_length_c 8.7870
_cell_angle_alpha 100.78
_cell_angle_beta 90.04
_cell_angle_gamma 90.22
_space_group_name_H-M_alt 'P 1'
_space_group_IT_number 1
_space_group_name_Hall 'P 1'
loop_
_atom_site_label
_atom_site_fract_x
_atom_site_fract_y
_atom_site_fract_z
Mg1 0.0012 0.1373 0.3512
Mg2 0.4989 0.6373 0.8512
Mg3 0.5011 0.3627 0.1488
Mg4 0.9988 0.8627 0.6488
Si1 0.0008 0.6830 0.0949
Si2 0.0017 0.5743 0.3540
Si3 0.4982 0.0743 0.8540
Si4 0.4983 0.1830 0.5949
Si5 0.5017 0.8170 0.4051
Si6 0.5018 0.9257 0.1460
Si7 0.9983 0.4257 0.6460
Si8 0.9992 0.3170 0.9051
```

The 10 most intense peaks (2θ = 10–90°), sorted by position:
Position (°2θ)	I_rel
16.0	40
26.6	50
32.1	73
32.3	45
38.6	79
39.8	100
39.9	99
41.9	69
45.0	72
45.5	83

=====

(5)
For Y3Co4Ge13, the PBE geometry in the Materials Project gives the theoretical powder X-ray diffraction pattern in this record (Cu Kα, 1.54184 Å).
Intensities are scaled so that the largest is 100.

Cell and atoms:
```
data_Y3Co4Ge13
_cell_length_a 8.8168
_cell_length_b 8.8168
_cell_length_c 8.8168
_cell_angle_alpha 90.00
_cell_angle_beta 90.00
_cell_angle_gamma 90.00
_space_group_name_H-M_alt 'P 1'
_space_group_IT_number 1
_space_group_name_Hall 'P 1'
loop_
_atom_site_label
_atom_site_fract_x
_atom_site_fract_y
_atom_site_fract_z
Y1 0.0000 0.2500 0.5000
Y2 0.0000 0.7500 0.5000
Y3 0.2500 0.5000 0.0000
Y4 0.5000 0.0000 0.2500
Y5 0.5000 0.0000 0.7500
Y6 0.7500 0.5000 0.0000
Co1 0.2500 0.2500 0.2500
Co2 0.2500 0.2500 0.7500
Co3 0.2500 0.7500 0.2500
Co4 0.2500 0.7500 0.7500
Co5 0.7500 0.2500 0.2500
Co6 0.7500 0.2500 0.7500
Co7 0.7500 0.7500 0.2500
Co8 0.7500 0.7500 0.7500
Ge1 0.0000 0.0000 0.0000
Ge2 0.0000 0.3032 0.1531
Ge3 0.0000 0.3032 0.8469
Ge4 0.0000 0.6968 0.1531
Ge5 0.0000 0.6968 0.8469
Ge6 0.1531 0.0000 0.3032
Ge7 0.1531 0.0000 0.6968
Ge8 0.1968 0.5000 0.3469
Ge9 0.1968 0.5000 0.6531
Ge10 0.3032 0.1531 0.0000
Ge11 0.3032 0.8469 0.0000
Ge12 0.3469 0.1968 0.5000
Ge13 0.3469 0.8032 0.5000
Ge14 0.5000 0.3469 0.1968
Ge15 0.5000 0.3469 0.8032
Ge16 0.5000 0.5000 0.5000
Ge17 0.5000 0.6531 0.1968
Ge18 0.5000 0.6531 0.8032
Ge19 0.6531 0.1968 0.5000
Ge20 0.6531 0.8032 0.5000
Ge21 0.6968 0.1531 0.0000
Ge22 0.6968 0.8469 0.0000
Ge23 0.8032 0.5000 0.3469
Ge24 0.8032 0.5000 0.6531
Ge25 0.8469 0.0000 0.3032
Ge26 0.8469 0.0000 0.6968
```

The 10 most intense peaks (2θ = 10–90°), sorted by position:
Position (°2θ)	I_rel
36.8	100
38.2	37
40.9	22
42.3	13
46.0	7
50.7	18
61.3	13
65.2	15
70.9	11
75.5	9

=====

(6)
For MgSb2, the PBE geometry in the Materials Project gives the theoretical powder X-ray diffraction pattern in this record (Cu Kα, 1.54184 Å).
Intensities are scaled so that the largest is 100.

Cell and atoms:
```
data_MgSb2
_cell_length_a 6.0155
_cell_length_b 6.0155
_cell_length_c 7.0230
_cell_angle_alpha 105.98
_cell_angle_beta 105.98
_cell_angle_gamma 42.32
_space_group_name_H-M_alt 'P 1'
_space_group_IT_number 1
_space_group_name_Hall 'P 1'
loop_
_atom_site_label
_atom_site_fract_x
_atom_site_fract_y
_atom_site_fract_z
Mg1 0.0000 0.0000 0.0000
Mg2 0.6867 0.6867 0.4166
Sb1 0.2970 0.2970 0.1439
Sb2 0.3275 0.3275 0.7366
Sb3 0.5992 0.5992 0.7994
Sb4 0.9686 0.9686 0.3964
```

The 10 most intense peaks (2θ = 10–90°), sorted by position:
Position (°2θ)	I_rel
17.9	28
26.9	21
27.1	63
32.4	100
32.8	72
36.2	29
39.7	21
40.3	18
41.6	31
58.8	29